Entry 1:
This entry pairs a crystal structure of GeHS3 with its calculated powder diffractogram. Radiation: Cu Kα (λ = 1.5418 Å). Structure: a DFT-relaxed cell (PBE, Alexandria).
Lines closer than 0.1° are merged.

Crystal structure
```
GeHS3
1.0
1.601 -10.100 0.000
1.601 10.100 0.000
0.000 0.000 7.022
Ge H S
2 2 6
Cartesian
1.601 7.274 3.511
1.601 -7.274 0.000
1.601 1.986 2.268
1.601 -1.986 5.779
1.601 8.457 5.445
1.601 4.512 0.171
1.601 1.864 5.638
1.601 -1.864 2.127
1.601 -4.512 3.682
1.601 -8.457 1.934
```

Largest 6 diffraction maxima, low angle first, 2θ = 15–90°:
Position (°2θ)	I_rel
15.37	1000
17.56	318
26.88	189
33.51	247
38.08	254
49.84	148

Entry 2:
This entry pairs a crystal structure of GeH2S3 with its calculated powder diffractogram. Radiation: Cu Kα (λ = 1.5418 Å). Structure: a DFT-relaxed cell (PBE, Alexandria).
Lines closer than 0.1° are merged.

Crystal structure
```
GeH2S3
1.0
-1.793 5.644 3.066
1.793 -5.644 3.066
1.793 5.644 -3.066
Ge H S
1 2 3
Cartesian
0.000 0.000 0.000
1.793 -3.004 2.725
1.793 3.004 2.725
1.793 0.000 1.427
1.793 3.891 1.698
0.000 1.754 4.764
```

Largest 6 diffraction maxima, low angle first, 2θ = 15–90°:
Position (°2θ)	I_rel
15.70	480
16.45	1000
26.07	281
27.82	544
28.84	609
45.80	509

Entry 3:
This entry pairs a crystal structure of Sm4GeHS2 with its calculated powder diffractogram. Radiation: Cu Kα (λ = 1.5418 Å). Structure: a DFT-relaxed cell (PBE, Alexandria).
Lines closer than 0.1° are merged.

Crystal structure
```
Sm4GeHS2
1.0
0.000 5.711 4.043
4.017 0.000 4.043
4.017 5.711 0.000
Sm Ge H S
4 1 1 2
Cartesian
4.017 2.842 4.043
5.905 5.711 5.985
4.017 8.580 4.043
2.130 5.711 5.985
4.017 5.711 0.051
4.017 5.711 4.378
2.009 2.856 2.015
6.026 8.567 6.059
```

Largest 6 diffraction maxima, low angle first, 2θ = 15–90°:
Position (°2θ)	I_rel
27.02	367
27.14	354
31.37	1000
44.94	485
53.20	232
74.28	160

Entry 4:
This entry pairs a crystal structure of Ti4GeSbH with its calculated powder diffractogram. Radiation: Cu Kα (λ = 1.5418 Å). Structure: a DFT-relaxed cell (PBE, Alexandria).
Lines closer than 0.1° are merged.

Crystal structure
```
Ti4GeSbH
1.0
2.700 -7.343 0.000
2.700 7.343 0.000
0.000 0.000 5.418
Ti Ge Sb H
8 2 2 2
Cartesian
1.350 3.671 0.000
1.350 3.671 2.709
2.700 6.341 4.064
2.700 1.144 4.064
1.350 -3.671 0.000
1.350 -3.671 2.709
2.700 -1.144 1.355
2.700 -6.341 1.355
2.700 5.673 1.355
2.700 -5.673 4.064
2.700 1.607 1.355
2.700 -1.607 4.064
2.700 3.139 4.064
2.700 -3.139 1.355
```

Largest 6 diffraction maxima, low angle first, 2θ = 15–90°:
Position (°2θ)	I_rel
24.04	311
35.31	297
35.42	295
36.72	303
41.47	1000
47.54	536

Entry 5:
This entry pairs a crystal structure of Sc4GeH2 with its calculated powder diffractogram. Radiation: Cu Kα (λ = 1.5418 Å). Structure: a DFT-relaxed cell (PBE, Alexandria).
Lines closer than 0.1° are merged.

Crystal structure
```
Sc4GeH2
1.0
-4.091 4.091 3.552
4.091 -4.091 3.552
4.091 4.091 -3.552
Sc Ge H
8 2 4
Cartesian
2.593 -2.049 3.279
1.498 2.049 -0.273
4.095 0.548 1.503
0.004 0.548 2.048
4.087 3.543 1.503
-0.004 3.543 2.048
2.593 2.042 3.824
1.498 6.140 0.273
4.091 2.045 -0.888
0.000 2.045 4.440
0.000 0.000 0.000
-2.045 2.045 1.776
0.000 4.091 0.000
2.045 2.045 1.776
```

Largest 6 diffraction maxima, low angle first, 2θ = 15–90°:
Position (°2θ)	I_rel
21.72	807
33.41	800
35.25	1000
39.62	582
41.79	756
43.26	438

Entry 6:
This entry pairs a crystal structure of Sm2Sc4Ge3H2 with its calculated powder diffractogram. Radiation: Cu Kα (λ = 1.5418 Å). Structure: a DFT-relaxed cell (PBE, Alexandria).
Lines closer than 0.1° are merged.

Crystal structure
```
Sm2Sc4Ge3H2
1.0
-2.169 2.169 11.395
2.169 -2.169 11.395
2.169 2.169 -11.395
Sm Sc Ge H
2 4 3 2
Cartesian
0.000 0.000 4.516
0.000 0.000 18.275
2.169 0.000 1.771
2.169 0.000 9.624
0.000 2.169 1.771
0.000 2.169 9.624
0.000 0.000 7.622
0.000 0.000 11.395
0.000 0.000 15.169
0.000 0.000 2.104
0.000 0.000 20.687
```

Largest 6 diffraction maxima, low angle first, 2θ = 15–90°:
Position (°2θ)	I_rel
23.62	388
29.12	463
30.18	793
34.44	736
37.70	1000
41.65	721

Entry 7:
This entry pairs a crystal structure of Y2ScGeH with its calculated powder diffractogram. Radiation: Cu Kα (λ = 1.5418 Å). Structure: a DFT-relaxed cell (PBE, Alexandria).
Lines closer than 0.1° are merged.

Crystal structure
```
Y2ScGeH
1.0
4.674 0.000 0.000
0.000 4.674 0.000
0.000 0.000 4.461
Y Sc Ge H
2 1 1 1
Cartesian
0.000 2.337 0.000
2.337 0.000 0.000
0.000 0.000 2.231
2.337 2.337 2.231
0.000 0.000 0.000
```

Largest 6 diffraction maxima, low angle first, 2θ = 15–90°:
Position (°2θ)	I_rel
33.75	1000
38.53	351
40.44	152
55.62	116
57.08	213
66.67	259

Entry 8:
This entry pairs a crystal structure of GeH2Se with its calculated powder diffractogram. Radiation: Cu Kα (λ = 1.5418 Å). Structure: a DFT-relaxed cell (PBE, Alexandria).
Lines closer than 0.1° are merged.

Crystal structure
```
GeH2Se
1.0
3.659 0.000 0.000
1.829 3.172 0.000
1.247 0.763 7.635
Ge H Se
1 2 1
Cartesian
0.000 0.000 0.000
1.289 0.799 2.818
1.729 1.008 3.393
3.077 1.822 6.186
```

Largest 6 diffraction maxima, low angle first, 2θ = 15–90°:
Position (°2θ)	I_rel
28.68	400
29.58	1000
33.06	568
35.04	495
35.21	513
49.97	339

Entry 9:
This entry pairs a crystal structure of SiGeH with its calculated powder diffractogram. Radiation: Cu Kα (λ = 1.5418 Å). Structure: a DFT-relaxed cell (PBE, Alexandria).
Lines closer than 0.1° are merged.

Crystal structure
```
SiGeH
1.0
2.579 0.000 0.000
0.001 4.918 0.000
0.001 2.442 6.483
Si Ge H
2 2 2
Cartesian
0.000 1.223 1.856
2.580 6.136 4.627
2.580 3.671 5.684
0.001 3.688 0.799
1.287 4.063 3.247
1.293 3.297 3.236
```

Largest 6 diffraction maxima, low angle first, 2θ = 15–90°:
Position (°2θ)	I_rel
27.48	1000
34.78	856
36.55	779
39.22	830
44.89	582
53.41	656

Entry 10:
This entry pairs a crystal structure of Sm2Y4Ge3H2 with its calculated powder diffractogram. Radiation: Cu Kα (λ = 1.5418 Å). Structure: a DFT-relaxed cell (PBE, Alexandria).
Lines closer than 0.1° are merged.

Crystal structure
```
Sm2Y4Ge3H2
1.0
-2.289 2.289 11.818
2.289 -2.289 11.818
2.289 2.289 -11.818
Sm Y Ge H
2 4 3 2
Cartesian
0.000 0.000 4.755
0.000 0.000 18.881
2.289 0.000 1.896
2.289 0.000 9.922
0.000 2.289 1.896
0.000 2.289 9.922
0.000 0.000 7.793
0.000 0.000 11.818
0.000 0.000 15.843
0.000 0.000 2.322
0.000 0.000 21.314
```

Largest 6 diffraction maxima, low angle first, 2θ = 15–90°:
Position (°2θ)	I_rel
28.59	823
32.96	417
35.90	1000
39.36	699
56.88	234
69.12	395

Entry 11:
This entry pairs a crystal structure of Sr6Ge3H2 with its calculated powder diffractogram. Radiation: Cu Kα (λ = 1.5418 Å). Structure: a DFT-relaxed cell (PBE, Alexandria).
Lines closer than 0.1° are merged.

Crystal structure
```
Sr6Ge3H2
1.0
-2.615 2.615 11.777
2.615 -2.615 11.777
2.615 2.615 -11.777
Sr Ge H
6 3 2
Cartesian
2.615 0.000 1.933
0.000 0.000 4.864
2.615 0.000 9.843
0.000 2.615 1.933
0.000 0.000 18.690
0.000 2.615 9.843
0.000 0.000 7.982
0.000 0.000 11.777
0.000 0.000 15.571
0.000 0.000 2.323
0.000 0.000 21.231
```

Largest 6 diffraction maxima, low angle first, 2θ = 15–90°:
Position (°2θ)	I_rel
25.24	618
31.62	405
33.28	1000
34.29	775
49.27	272
60.76	345

Entry 12:
This entry pairs a crystal structure of Sr5Ge2H2 with its calculated powder diffractogram. Radiation: Cu Kα (λ = 1.5418 Å). Structure: a DFT-relaxed cell (PBE, Alexandria).
Lines closer than 0.1° are merged.

Crystal structure
```
Sr5Ge2H2
1.0
-10.273 3.668 3.506
10.273 -3.668 3.506
10.273 3.668 -3.506
Sr Ge H
10 4 4
Cartesian
15.410 -0.790 1.142
0.288 1.812 0.000
9.985 1.812 0.000
5.137 0.790 1.142
-2.973 3.143 1.570
2.973 -0.526 5.076
0.288 1.856 3.506
9.985 1.856 3.506
2.973 4.194 1.570
7.300 4.194 1.570
2.204 -0.099 1.820
8.069 -0.099 1.820
8.069 3.767 -1.685
12.477 0.099 1.820
5.137 3.082 2.137
0.000 3.668 1.733
0.000 0.000 5.239
-5.137 4.255 2.137
```

Largest 6 diffraction maxima, low angle first, 2θ = 15–90°:
Position (°2θ)	I_rel
26.87	504
29.93	920
30.88	1000
31.53	786
35.42	808
50.61	668

Entry 13:
This entry pairs a crystal structure of TbGeH with its calculated powder diffractogram. Radiation: Cu Kα (λ = 1.5418 Å). Structure: a DFT-relaxed cell (PBE, Alexandria).
Lines closer than 0.1° are merged.

Crystal structure
```
TbGeH
1.0
4.067 0.000 0.000
0.000 4.001 0.000
-2.032 0.000 5.788
Tb Ge H
2 2 2
Cartesian
-0.003 1.000 1.724
2.038 3.000 4.065
0.007 1.000 5.023
2.028 3.000 0.765
0.000 3.000 2.944
2.035 1.000 2.844
```

Largest 6 diffraction maxima, low angle first, 2θ = 15–90°:
Position (°2θ)	I_rel
27.09	291
31.97	634
32.33	1000
38.39	350
39.28	377
56.55	251

Entry 14:
This entry pairs a crystal structure of Ti3Ge2H with its calculated powder diffractogram. Radiation: Cu Kα (λ = 1.5418 Å). Structure: a DFT-relaxed cell (PBE, Alexandria).
Lines closer than 0.1° are merged.

Crystal structure
```
Ti3Ge2H
1.0
6.857 0.000 0.000
0.000 3.631 0.000
0.000 0.000 13.953
Ti Ge H
12 8 4
Cartesian
0.063 0.908 1.482
0.908 0.908 7.936
1.123 2.724 3.832
2.305 0.908 10.808
2.521 2.724 0.959
3.366 2.724 8.459
3.492 0.908 5.494
4.337 0.908 12.994
4.552 2.724 3.145
5.734 0.908 10.121
5.949 2.724 6.017
6.794 2.724 12.471
0.723 2.724 9.883
1.690 0.908 13.301
1.738 2.724 6.325
2.706 0.908 2.906
4.152 2.724 11.046
5.119 0.908 7.628
5.167 2.724 0.652
6.134 0.908 4.070
0.800 2.724 1.886
2.629 0.908 8.862
4.228 2.724 5.091
6.057 0.908 12.067
```

Largest 6 diffraction maxima, low angle first, 2θ = 15–90°:
Position (°2θ)	I_rel
28.54	417
36.62	511
38.10	425
38.34	1000
40.78	409
50.25	498